For RbCoTc2O8, a structure optimized by DFT (GGA+U) gives the simulated powder diffraction line list in this record (Cu Kα).
Kinematic intensities with the Lorentz-polarization factor, no thermal factor.

Structural model:
```
RbCoTc2O8
1.0
5.5347 0.0000 0.0000
-2.7674 4.7932 0.0000
0.0000 0.0000 8.0789
Rb Co Tc O
1 1 2 8
Cartesian
0.0000 0.0000 0.0000
0.0000 0.0000 4.0394
0.0000 3.1955 5.8054
2.7674 1.5977 2.2735
-0.4828 1.5849 5.2617
-1.1534 4.4189 5.2617
1.1312 1.2106 2.8171
0.0000 3.1955 7.5555
2.7674 1.5977 0.5234
1.6362 3.5827 5.2617
3.9208 0.3744 2.8171
3.2502 3.2083 2.8171
```

Principal peaks in the range 2θ from 10° to 90°, in order of rising 2θ:
| 2θ (°) | I (rel.) |
| --- | --- |
| 21.56 | 100.0 |
| 28.91 | 64.3 |
| 32.35 | 50.4 |
| 43.93 | 20.9 |
| 55.60 | 20.1 |
| 56.40 | 17.1 |